# 1
Calculated X-ray powder pattern of CdHg2Te2S for CuKα, from a cell relaxed with GGA-PBE.
No peak broadening, texture or thermal motion is included.

Atomic structure:
Cell lengths 13.583, 7.823, 7.421 Å; angles 90.00, 90.00, 90.00 degrees
Space group Cmc2_1 (No. 36)
Symmetry-distinct sites (fractional):
Cd1 0.000 0.141 0.000 [4 per cell]
Hg1 0.157 0.321 0.541 [8 per cell]
Te1 0.161 0.329 0.153 [8 per cell]
S1 0.000 0.156 0.652 [4 per cell]

Principal peaks in the range 10° ≤ 2θ ≤ 90°, by intensity:
d (Å)  I_rel  index
3.916  100  0 2 0
3.464  90  3 1 1
2.261  87  6 0 0
2.091  86  3 1 3
3.711  65  0 0 2
1.931  59  6 0 2

=====

# 2
Calculated X-ray powder pattern of Cd4HgSb2 for CuKα, from a cell relaxed with GGA-PBE.
No peak broadening, texture or thermal motion is included.

Atomic structure:
Cell lengths 14.166, 14.303, 7.718 Å; angles 90.00, 90.00, 90.00 degrees
Space group Ccce (No. 68, origin choice 2)
Symmetry-distinct sites (fractional):
Cd1 0.087 0.070 0.096 [16 per cell]
Cd2 0.180 0.163 0.596 [16 per cell]
Hg1 0.250 0.000 0.352 [8 per cell]
Sb1 0.000 0.103 0.750 [8 per cell]
Sb2 0.146 0.250 0.250 [8 per cell]

Principal peaks in the range 10° ≤ 2θ ≤ 90°, by intensity:
d (Å)  I_rel  index
2.935  100  1 3 2
2.925  60  3 1 2
2.234  58  1 3 3
2.950  39  2 4 1
2.259  36  2 6 0
2.532  28  3 3 2

=====

# 3
Calculated X-ray powder pattern of Cd14HgSb for CuKα, from a cell relaxed with GGA-PBE.
No peak broadening, texture or thermal motion is included.

Atomic structure:
Cell lengths 10.333, 7.068, 10.360 Å; angles 90.00, 90.00, 90.00 degrees
Space group Amm2 (No. 38)
Symmetry-distinct sites (fractional):
Cd1 0.000 0.000 0.000 [2 per cell]
Cd2 0.000 0.000 0.481 [2 per cell]
Cd3 0.000 0.244 0.740 [4 per cell]
Cd4 0.236 0.000 0.656 [4 per cell]
Cd5 0.243 0.235 0.909 [8 per cell]
Cd6 0.248 0.000 0.167 [4 per cell]
Cd7 0.500 0.218 0.253 [4 per cell]
Hg1 0.500 0.000 0.983 [2 per cell]
Sb1 0.500 0.000 0.532 [2 per cell]

Principal peaks in the range 10° ≤ 2θ ≤ 90°, by intensity:
d (Å)  I_rel  index
2.542  100  2 2 2
2.584  45  4 0 0
2.315  39  2 0 4
2.919  27  0 2 2
1.483  17  6 2 2
1.935  16  4 2 2

=====

# 4
Calculated X-ray powder pattern of Cd12Hg6Sb for CuKα, from a cell relaxed with GGA-PBE.
No peak broadening, texture or thermal motion is included.

Atomic structure:
Cell lengths 7.685, 8.039, 8.315 Å; angles 106.30, 94.96, 94.95 degrees
Space group P-1 (No. 2)
Symmetry-distinct sites (fractional):
Cd1 0.041 0.400 0.328 [2 per cell]
Cd2 0.074 0.184 0.977 [2 per cell]
Cd3 0.196 0.061 0.291 [2 per cell]
Cd4 0.206 0.549 0.969 [2 per cell]
Cd5 0.312 0.686 0.554 [2 per cell]
Cd6 0.435 0.233 0.836 [2 per cell]
Hg1 0.053 0.218 0.622 [2 per cell]
Hg2 0.315 0.897 0.922 [2 per cell]
Hg3 0.428 0.437 0.239 [2 per cell]
Sb1 0.500 0.000 0.500 [1 per cell]

Principal peaks in the range 10° ≤ 2θ ≤ 90°, by intensity:
d (Å)  I_rel  index
2.411  100  1 0 3
2.407  92  1 -3 2
3.080  75  -1 1 2
2.248  65  0 3 1
2.651  61  2 2 -1
2.620  53  -2 1 2

=====

# 5
Calculated X-ray powder pattern of Cd11Hg17Sb for CuKα, from a cell relaxed with GGA-PBE.
No peak broadening, texture or thermal motion is included.

Atomic structure:
Cell lengths 10.582, 17.785, 9.015 Å; angles 90.00, 119.07, 90.00 degrees
Space group Cm (No. 8)
Symmetry-distinct sites (fractional):
Cd1 0.000 0.000 0.000 [2 per cell]
Cd2 0.192 0.213 0.686 [4 per cell]
Cd3 0.285 0.087 0.233 [4 per cell]
Cd4 0.391 0.208 0.063 [4 per cell]
Cd5 0.427 0.384 0.533 [4 per cell]
Cd6 0.455 0.100 0.846 [4 per cell]
Hg1 0.022 0.500 0.178 [2 per cell]
Hg2 0.051 0.170 0.913 [4 per cell]
Hg3 0.053 0.160 0.290 [4 per cell]
Hg4 0.100 0.350 0.425 [4 per cell]
Hg5 0.106 0.000 0.447 [2 per cell]
Hg6 0.199 0.000 0.834 [2 per cell]
Hg7 0.218 0.314 0.175 [4 per cell]
Hg8 0.240 0.367 0.851 [4 per cell]
Hg9 0.281 0.500 0.123 [2 per cell]
Hg10 0.386 0.208 0.537 [4 per cell]
Hg11 0.452 0.000 0.574 [2 per cell]
Sb1 0.275 0.500 0.623 [2 per cell]

Principal peaks in the range 10° ≤ 2θ ≤ 90°, by intensity:
d (Å)  I_rel  index
2.626  100  1 3 -3
2.790  62  1 5 -2
2.885  52  1 5 1
2.511  39  3 3 -3
2.949  38  0 4 2
2.964  37  0 6 0

=====

# 6
Calculated X-ray powder pattern of Cd12Hg16Sb for CuKα, from a cell relaxed with GGA-PBE.
No peak broadening, texture or thermal motion is included.

Atomic structure:
Cell lengths 10.634, 17.915, 8.809 Å; angles 90.00, 118.61, 90.00 degrees
Space group Cm (No. 8)
Symmetry-distinct sites (fractional):
Cd1 0.000 0.000 0.000 [2 per cell]
Cd2 0.065 0.320 0.279 [4 per cell]
Cd3 0.076 0.086 0.729 [4 per cell]
Cd4 0.209 0.392 0.087 [4 per cell]
Cd5 0.257 0.000 0.387 [2 per cell]
Cd6 0.384 0.171 0.872 [4 per cell]
Cd7 0.479 0.123 0.562 [4 per cell]
Hg1 0.027 0.500 0.191 [2 per cell]
Hg2 0.123 0.254 0.838 [4 per cell]
Hg3 0.160 0.154 0.476 [4 per cell]
Hg4 0.268 0.107 0.124 [4 per cell]
Hg5 0.285 0.500 0.539 [2 per cell]
Hg6 0.299 0.331 0.659 [4 per cell]
Hg7 0.356 0.000 0.790 [2 per cell]
Hg8 0.357 0.269 0.351 [4 per cell]
Hg9 0.452 0.500 0.332 [2 per cell]
Hg10 0.471 0.331 0.067 [4 per cell]
Sb1 0.173 0.500 0.807 [2 per cell]

Principal peaks in the range 10° ≤ 2θ ≤ 90°, by intensity:
d (Å)  I_rel  index
2.597  100  2 6 -1
2.632  53  4 0 -2
2.927  53  0 4 2
2.580  49  1 3 -3
2.478  42  3 1 1
2.682  38  2 4 1

=====

# 7
Calculated X-ray powder pattern of Cd4Hg2Sb for CuKα, from a cell relaxed with GGA-PBE.
No peak broadening, texture or thermal motion is included.

Atomic structure:
Cell lengths 4.901, 5.637, 7.175 Å; angles 75.82, 72.01, 87.41 degrees
Space group P-1 (No. 2)
Symmetry-distinct sites (fractional):
Cd1 0.122 0.235 0.247 [2 per cell]
Cd2 0.370 0.415 0.727 [2 per cell]
Hg1 0.229 0.798 0.051 [2 per cell]
Sb1 0.500 0.000 0.500 [1 per cell]

Principal peaks in the range 10° ≤ 2θ ≤ 90°, by intensity:
d (Å)  I_rel  index
2.688  100  1 1 -1
3.198  90  0 1 2
2.446  88  2 0 1
2.538  79  1 -1 2
2.490  52  1 2 1
2.774  52  0 2 1

=====

# 8
Calculated X-ray powder pattern of Cd2Hg2Sb for CuKα, from a cell relaxed with GGA-PBE.
No peak broadening, texture or thermal motion is included.

Atomic structure:
Cell lengths 8.695, 8.695, 3.312 Å; angles 90.00, 90.00, 90.00 degrees
Space group P4/mbm (No. 127)
Symmetry-distinct sites (fractional):
Cd1 0.123 0.377 0.000 [4 per cell]
Hg1 0.178 0.678 0.500 [4 per cell]
Sb1 0.000 0.000 0.500 [2 per cell]

Principal peaks in the range 10° ≤ 2θ ≤ 90°, by intensity:
d (Å)  I_rel  index
2.521  100  2 1 1
2.749  53  3 1 0
1.360  21  5 3 1
1.779  21  4 1 1
2.109  20  4 1 0
3.074  16  2 2 0